Simulated powder diffractogram of ScSe2Br for Cu Kα X-rays, from the GGA-PBE geometry in Alexandria.
Intensities are scaled so that the largest is 100.

Peak list (6 most intense, 10° ≤ 2θ ≤ 80°, low angle first)
d_spacing, I (rel.), (hkl)
3.205, 36, 1 0 1
3.141, 29, 0 1 1
3.127, 100, 1 1 0
2.600, 39, 1 0 -2
2.159, 26, 0 1 2
1.871, 29, 2 1 -2

Structure:
```
ScSe2Br
1.0
5.289 0.000 0.000
0.000 3.965 0.000
-1.463 0.000 5.145
Sc Se Br
1 2 1
direct
0.000 0.000 0.000
0.372 0.500 0.153
0.628 0.500 0.847
0.000 0.000 0.500
```